Simulated X-ray diffraction stick pattern of FePH6NO5 for Cu Kα (weighted mean of Kα1 and Kα2), from a structure optimized by DFT (PBE+U).

Atomic structure:
```
data_FePH6NO5
_cell_length_a 4.832
_cell_length_b 5.709
_cell_length_c 18.048
_cell_angle_alpha 90.01
_cell_angle_beta 90.04
_cell_angle_gamma 90.05
_symmetry_space_group_name_H-M 'P 1'
_symmetry_Int_Tables_number 1
_symmetry_space_group_name_Hall 'P 1'
loop_
_atom_site_label
_atom_site_type_symbol
_atom_site_fract_x
_atom_site_fract_y
_atom_site_fract_z
Fe1 Fe 0.000 0.000 0.000
Fe2 Fe 0.000 0.001 0.500
Fe3 Fe 0.500 0.500 0.023
Fe4 Fe 0.500 0.500 0.523
P1 P 0.427 0.998 0.110
P2 P 0.434 0.002 0.609
P3 P 0.928 0.498 0.413
P4 P 0.933 0.502 0.914
H1 H 0.055 0.004 0.238
H2 H 0.056 0.000 0.738
H3 H 0.196 0.503 0.283
H4 H 0.197 0.500 0.783
H5 H 0.382 0.348 0.220
H6 H 0.382 0.647 0.217
H7 H 0.384 0.356 0.717
H8 H 0.384 0.655 0.720
H9 H 0.426 0.144 0.915
H10 H 0.429 0.860 0.417
H11 H 0.437 0.135 0.416
H12 H 0.445 0.871 0.916
H13 H 0.555 0.504 0.285
H14 H 0.556 0.500 0.785
H15 H 0.696 0.003 0.240
H16 H 0.697 0.000 0.740
H17 H 0.882 0.146 0.306
H18 H 0.882 0.847 0.303
H19 H 0.884 0.154 0.804
H20 H 0.884 0.855 0.806
H21 H 0.925 0.645 0.608
H22 H 0.930 0.361 0.106
H23 H 0.934 0.636 0.106
H24 H 0.946 0.371 0.607
N1 N 0.378 0.500 0.251
N2 N 0.380 0.503 0.751
N3 N 0.879 0.000 0.272
N4 N 0.880 0.002 0.772
O1 O 0.239 0.499 0.429
O2 O 0.245 0.501 0.930
O3 O 0.276 0.210 0.070
O4 O 0.282 0.774 0.077
O5 O 0.284 0.790 0.571
O6 O 0.292 0.226 0.575
O7 O 0.310 0.000 0.410
O8 O 0.314 0.001 0.909
O9 O 0.378 0.009 0.195
O10 O 0.384 0.996 0.694
O11 O 0.738 0.999 0.094
O12 O 0.746 0.000 0.594
O13 O 0.777 0.709 0.453
O14 O 0.784 0.273 0.446
O15 O 0.784 0.288 0.951
O16 O 0.790 0.725 0.948
O17 O 0.809 0.500 0.112
O18 O 0.814 0.501 0.614
O19 O 0.878 0.511 0.328
O20 O 0.884 0.497 0.829
```

Main lines, most intense first (2θ from 10° to 90°):
hkl 0 2 0, 2θ = 31.33°, 2.855 Å, I 100
hkl 1 0 -2, 2θ = 20.85°, 4.260 Å, I 22
hkl -1 1 2, 2θ = 26.10°, 3.414 Å, I 20
hkl -1 1 6, 2θ = 38.62°, 2.331 Å, I 19
hkl 0 1 2, 2θ = 18.39°, 4.825 Å, I 16
hkl 1 3 4, 2θ = 55.77°, 1.648 Å, I 15
hkl 0 0 10, 2θ = 50.53°, 1.806 Å, I 11
hkl -1 2 4, 2θ = 41.85°, 2.159 Å, I 11
hkl 2 0 0, 2θ = 37.22°, 2.416 Å, I 9
hkl 1 2 2, 2θ = 37.94°, 2.371 Å, I 8

Simulated X-ray diffraction stick pattern of V4O5F7 for Cu Kα (weighted mean of Kα1 and Kα2), from a structure optimized by DFT (PBE+U).

Atomic structure:
```
data_V4O5F7
_cell_length_a 9.259
_cell_length_b 5.316
_cell_length_c 8.904
_cell_angle_alpha 90.00
_cell_angle_beta 106.97
_cell_angle_gamma 90.00
_symmetry_space_group_name_H-M 'C 1 2 1'
_symmetry_Int_Tables_number 5
_symmetry_space_group_name_Hall 'C 2y'
loop_
_atom_site_label
_atom_site_type_symbol
_atom_site_fract_x
_atom_site_fract_y
_atom_site_fract_z
V1 V 0.118 0.000 0.375
V2 V 0.124 0.551 0.862
O1 O 0.000 0.941 0.500
O2 O 0.003 0.791 0.797
O3 O 0.245 0.582 0.753
F1 F 0.000 0.420 0.000
F2 F 0.001 0.308 0.716
F3 F 0.249 0.703 0.043
F4 F 0.249 0.709 0.455
```

Main lines, most intense first (2θ from 10° to 90°):
hkl 1 1 1, 2θ = 23.48°, 3.789 Å, I 100
hkl 2 0 -2, 2θ = 24.41°, 3.647 Å, I 50
hkl 2 2 2, 2θ = 48.03°, 1.894 Å, I 22
hkl 5 1 -3, 2θ = 55.28°, 1.662 Å, I 15
hkl 3 1 -1, 2θ = 33.62°, 2.666 Å, I 13
hkl 3 1 3, 2θ = 53.76°, 1.705 Å, I 11
hkl 4 0 -4, 2θ = 50.02°, 1.823 Å, I 10
hkl 4 2 0, 2θ = 53.90°, 1.701 Å, I 10
hkl 1 3 -3, 2θ = 60.88°, 1.522 Å, I 8
hkl 1 1 3, 2θ = 39.85°, 2.262 Å, I 7

Simulated X-ray diffraction stick pattern of Co5SnB2O10 for Cu Kα (weighted mean of Kα1 and Kα2), from a structure optimized by DFT (PBE+U).

Atomic structure:
```
data_Co5SnB2O10
_cell_length_a 3.183
_cell_length_b 9.518
_cell_length_c 12.465
_cell_angle_alpha 90.00
_cell_angle_beta 90.00
_cell_angle_gamma 90.00
_symmetry_space_group_name_H-M 'P m c 21'
_symmetry_Int_Tables_number 26
_symmetry_space_group_name_Hall 'P 2c -2'
loop_
_atom_site_label
_atom_site_type_symbol
_atom_site_fract_x
_atom_site_fract_y
_atom_site_fract_z
Co1 Co 0.000 0.012 0.000
Co2 Co 0.000 0.234 0.611
Co3 Co 0.500 0.232 0.836
Co4 Co 0.500 0.233 0.114
Co5 Co 0.500 0.237 0.399
Sn1 Sn 0.000 0.492 0.232
B1 B 0.000 0.026 0.255
B2 B 0.000 0.481 0.978
O1 O 0.000 0.098 0.352
O2 O 0.000 0.101 0.160
O3 O 0.000 0.122 0.755
O4 O 0.000 0.375 0.475
O5 O 0.000 0.403 0.074
O6 O 0.000 0.404 0.882
O7 O 0.500 0.141 0.540
O8 O 0.500 0.144 0.973
O9 O 0.500 0.354 0.259
O10 O 0.500 0.367 0.699
```

Main lines, most intense first (2θ from 10° to 90°):
hkl 0 2 4, 2θ = 34.40°, 2.607 Å, I 100
hkl 0 1 2, 2θ = 17.00°, 5.214 Å, I 100
hkl 1 2 0, 2θ = 33.88°, 2.646 Å, I 94
hkl 1 3 2, 2θ = 42.78°, 2.114 Å, I 46
hkl 1 4 4, 2θ = 56.61°, 1.626 Å, I 35
hkl 0 3 2, 2θ = 31.61°, 2.831 Å, I 32
hkl 1 3 1, 2θ = 40.82°, 2.211 Å, I 28
hkl 2 2 4, 2θ = 69.14°, 1.359 Å, I 27
hkl 1 0 4, 2θ = 40.49°, 2.228 Å, I 27
hkl 1 1 3, 2θ = 36.80°, 2.442 Å, I 26

Simulated X-ray diffraction stick pattern of Li2V5CuO12 for Cu Kα (weighted mean of Kα1 and Kα2), from a structure optimized by DFT (PBE+U).

Atomic structure:
```
data_Li2V5CuO12
_cell_length_a 10.925
_cell_length_b 8.545
_cell_length_c 5.677
_cell_angle_alpha 90.00
_cell_angle_beta 112.56
_cell_angle_gamma 90.00
_symmetry_space_group_name_H-M 'C 1 2 1'
_symmetry_Int_Tables_number 5
_symmetry_space_group_name_Hall 'C 2y'
loop_
_atom_site_label
_atom_site_type_symbol
_atom_site_fract_x
_atom_site_fract_y
_atom_site_fract_z
Li1 Li 0.000 0.000 0.000
Li2 Li 0.000 0.440 0.500
V1 V 0.000 0.639 0.000
V2 V 0.221 0.117 0.515
V3 V 0.226 0.325 0.042
Cu1 Cu 0.000 0.821 0.500
O1 O 0.100 0.815 0.918
O2 O 0.108 0.623 0.391
O3 O 0.117 0.483 0.939
O4 O 0.151 0.156 0.179
O5 O 0.160 0.245 0.685
O6 O 0.183 0.927 0.579
```

Main lines, most intense first (2θ from 10° to 90°):
hkl 2 2 -1, 2θ = 28.46°, 3.137 Å, I 100
hkl 1 1 0, 2θ = 13.58°, 6.520 Å, I 30
hkl 0 0 2, 2θ = 34.21°, 2.621 Å, I 23
hkl 1 1 -1, 2θ = 18.91°, 4.693 Å, I 22
hkl 2 2 1, 2θ = 35.86°, 2.504 Å, I 16
hkl 5 3 -1, 2θ = 52.81°, 1.734 Å, I 15
hkl 1 1 2, 2θ = 40.13°, 2.247 Å, I 14
hkl 2 2 -3, 2θ = 52.96°, 1.729 Å, I 12
hkl 2 0 0, 2θ = 17.58°, 5.045 Å, I 9
hkl 0 2 0, 2θ = 20.79°, 4.272 Å, I 9

Simulated X-ray diffraction stick pattern of V4OF11 for Cu Kα (weighted mean of Kα1 and Kα2), from a structure optimized by DFT (PBE+U).

Atomic structure:
```
data_V4OF11
_cell_length_a 5.248
_cell_length_b 5.460
_cell_length_c 17.436
_cell_angle_alpha 89.15
_cell_angle_beta 81.81
_cell_angle_gamma 61.59
_symmetry_space_group_name_H-M 'P -1'
_symmetry_Int_Tables_number 2
_symmetry_space_group_name_Hall '-P 1'
loop_
_atom_site_label
_atom_site_type_symbol
_atom_site_fract_x
_atom_site_fract_y
_atom_site_fract_z
V1 V 0.000 0.000 0.000
V2 V 0.000 0.500 0.500
V3 V 0.252 0.379 0.126
V4 V 0.254 0.880 0.626
V5 V 0.493 0.237 0.743
O1 O 0.421 0.089 0.670
F1 F 0.023 0.188 0.562
F2 F 0.024 0.687 0.063
F3 F 0.073 0.163 0.088
F4 F 0.076 0.664 0.588
F5 F 0.077 0.465 0.787
F6 F 0.078 0.961 0.287
F7 F 0.426 0.595 0.167
F8 F 0.427 0.284 0.463
F9 F 0.428 0.784 0.962
F10 F 0.479 0.057 0.186
F11 F 0.481 0.558 0.687
```

Main lines, most intense first (2θ from 10° to 90°):
hkl 0 1 -3, 2θ = 23.44°, 3.796 Å, I 100
hkl 1 1 3, 2θ = 23.67°, 3.758 Å, I 50
hkl 0 2 -6, 2θ = 47.93°, 1.898 Å, I 21
hkl 2 0 0, 2θ = 39.55°, 2.279 Å, I 20
hkl 1 2 0, 2θ = 32.89°, 2.723 Å, I 15
hkl -2 1 1, 2θ = 53.10°, 1.725 Å, I 13
hkl 1 2 8, 2θ = 53.59°, 1.710 Å, I 12
hkl 1 3 -3, 2θ = 53.23°, 1.721 Å, I 12
hkl 2 2 6, 2θ = 48.44°, 1.879 Å, I 10
hkl 1 2 -8, 2θ = 54.95°, 1.671 Å, I 10

Simulated X-ray diffraction stick pattern of Fe7P6O24 for Cu Kα (weighted mean of Kα1 and Kα2), from a structure optimized by DFT (PBE+U).

Atomic structure:
```
data_Fe7P6O24
_cell_length_a 6.447
_cell_length_b 8.067
_cell_length_c 9.435
_cell_angle_alpha 104.98
_cell_angle_beta 108.42
_cell_angle_gamma 101.45
_symmetry_space_group_name_H-M 'P -1'
_symmetry_Int_Tables_number 2
_symmetry_space_group_name_Hall '-P 1'
loop_
_atom_site_label
_atom_site_type_symbol
_atom_site_fract_x
_atom_site_fract_y
_atom_site_fract_z
Fe1 Fe 0.000 0.000 0.000
Fe2 Fe 0.045 0.724 0.530
Fe3 Fe 0.282 0.811 0.288
Fe4 Fe 0.385 0.454 0.114
P1 P 0.091 0.594 0.833
P2 P 0.229 0.151 0.769
P3 P 0.398 0.230 0.368
O1 O 0.021 0.191 0.658
O2 O 0.064 0.550 0.654
O3 O 0.113 0.787 0.917
O4 O 0.124 0.533 0.162
O5 O 0.210 0.953 0.706
O6 O 0.227 0.201 0.941
O7 O 0.250 0.277 0.462
O8 O 0.276 0.039 0.237
O9 O 0.307 0.540 0.916
O10 O 0.368 0.766 0.510
O11 O 0.449 0.365 0.286
O12 O 0.456 0.269 0.774
```

Main lines, most intense first (2θ from 10° to 90°):
hkl 0 2 1, 2θ = 29.49°, 3.029 Å, I 100
hkl 0 1 -3, 2θ = 29.96°, 2.982 Å, I 71
hkl 2 0 -1, 2θ = 28.24°, 3.160 Å, I 47
hkl 2 1 -2, 2θ = 32.98°, 2.716 Å, I 31
hkl 1 -1 1, 2θ = 20.34°, 4.366 Å, I 31
hkl 1 -2 2, 2θ = 30.70°, 2.912 Å, I 26
hkl 2 -1 0, 2θ = 29.33°, 3.045 Å, I 25
hkl 1 2 -3, 2θ = 34.01°, 2.636 Å, I 22
hkl -1 1 1, 2θ = 18.37°, 4.829 Å, I 21
hkl -2 1 2, 2θ = 31.40°, 2.849 Å, I 20

Simulated X-ray diffraction stick pattern of MgV12Zn6O24 for Cu Kα (weighted mean of Kα1 and Kα2), from a structure optimized by DFT (PBE+U).

Atomic structure:
```
data_MgV12Zn6O24
_cell_length_a 6.060
_cell_length_b 6.085
_cell_length_c 15.141
_cell_angle_alpha 92.90
_cell_angle_beta 90.20
_cell_angle_gamma 119.52
_symmetry_space_group_name_H-M 'P 1'
_symmetry_Int_Tables_number 1
_symmetry_space_group_name_Hall 'P 1'
loop_
_atom_site_label
_atom_site_type_symbol
_atom_site_fract_x
_atom_site_fract_y
_atom_site_fract_z
Mg1 Mg 0.000 0.000 0.000
V1 V 0.017 0.047 0.498
V2 V 0.018 0.545 0.498
V3 V 0.172 0.348 0.332
V4 V 0.210 0.941 0.821
V5 V 0.246 0.511 0.971
V6 V 0.320 0.145 0.171
V7 V 0.328 0.660 0.165
V8 V 0.516 0.546 0.498
V9 V 0.712 0.939 0.822
V10 V 0.714 0.434 0.829
V11 V 0.816 0.143 0.171
V12 V 0.861 0.736 0.661
Zn1 Zn 0.202 0.417 0.704
Zn2 Zn 0.508 0.024 0.375
Zn3 Zn 0.526 0.068 0.619
Zn4 Zn 0.550 0.113 0.983
Zn5 Zn 0.817 0.633 0.112
Zn6 Zn 0.831 0.667 0.298
O1 O 0.001 0.477 0.246
O2 O 0.005 0.013 0.248
O3 O 0.017 0.060 0.743
O4 O 0.029 0.607 0.748
O5 O 0.142 0.294 0.092
O6 O 0.159 0.881 0.578
O7 O 0.168 0.832 0.077
O8 O 0.184 0.386 0.569
O9 O 0.326 0.671 0.419
O10 O 0.337 0.219 0.420
O11 O 0.361 0.251 0.911
O12 O 0.404 0.813 0.895
O13 O 0.469 0.477 0.248
O14 O 0.499 0.005 0.242
O15 O 0.545 0.102 0.753
O16 O 0.568 0.593 0.745
O17 O 0.634 0.281 0.098
O18 O 0.663 0.834 0.078
O19 O 0.695 0.872 0.575
O20 O 0.706 0.418 0.574
O21 O 0.851 0.705 0.428
O22 O 0.871 0.274 0.909
O23 O 0.876 0.210 0.417
O24 O 0.878 0.780 0.892
```

Main lines, most intense first (2θ from 10° to 90°):
hkl 0 1 5, 2θ = 35.12°, 2.556 Å, I 100
hkl 4 -2 0, 2θ = 61.20°, 1.514 Å, I 96
hkl -2 1 3, 2θ = 34.52°, 2.598 Å, I 92
hkl 2 -1 0, 2θ = 29.45°, 3.033 Å, I 89
hkl 1 0 4, 2θ = 29.52°, 3.025 Å, I 80
hkl 1 0 -5, 2θ = 33.69°, 2.661 Å, I 69
hkl 1 -1 5, 2θ = 33.86°, 2.647 Å, I 68
hkl 2 -1 3, 2θ = 34.61°, 2.592 Å, I 61
hkl -1 2 3, 2θ = 35.26°, 2.545 Å, I 60
hkl 2 0 -4, 2θ = 41.11°, 2.196 Å, I 52

Simulated X-ray diffraction stick pattern of Li4Mn3OF11 for Cu Kα (weighted mean of Kα1 and Kα2), from a structure optimized by DFT (PBE+U).

Atomic structure:
```
data_Li4Mn3OF11
_cell_length_a 5.925
_cell_length_b 6.014
_cell_length_c 6.077
_cell_angle_alpha 98.30
_cell_angle_beta 97.22
_cell_angle_gamma 97.68
_symmetry_space_group_name_H-M 'P 1'
_symmetry_Int_Tables_number 1
_symmetry_space_group_name_Hall 'P 1'
loop_
_atom_site_label
_atom_site_type_symbol
_atom_site_fract_x
_atom_site_fract_y
_atom_site_fract_z
Li1 Li 0.000 0.000 0.000
Li2 Li 0.108 0.319 0.475
Li3 Li 0.237 0.582 0.082
Li4 Li 0.840 0.727 0.355
Mn1 Mn 0.375 0.943 0.671
Mn2 Mn 0.533 0.200 0.166
Mn3 Mn 0.646 0.489 0.776
O1 O 0.603 0.198 0.871
F1 F 0.101 0.066 0.688
F2 F 0.168 0.283 0.157
F3 F 0.204 0.738 0.420
F4 F 0.326 0.498 0.754
F5 F 0.331 0.900 0.012
F6 F 0.451 0.177 0.455
F7 F 0.566 0.532 0.185
F8 F 0.644 0.789 0.665
F9 F 0.782 0.009 0.228
F10 F 0.845 0.447 0.530
F11 F 0.926 0.638 0.980
```

Main lines, most intense first (2θ from 10° to 90°):
hkl 1 0 0, 2θ = 15.26°, 5.807 Å, I 100
hkl 1 -1 0, 2θ = 19.75°, 4.495 Å, I 65
hkl 0 2 -1, 2θ = 31.69°, 2.824 Å, I 56
hkl 1 1 1, 2θ = 30.16°, 2.963 Å, I 33
hkl 2 -1 0, 2θ = 32.21°, 2.779 Å, I 29
hkl 1 1 -1, 2θ = 24.86°, 3.581 Å, I 28
hkl 0 0 2, 2θ = 30.05°, 2.974 Å, I 22
hkl 0 1 1, 2θ = 22.95°, 3.875 Å, I 19
hkl 3 0 1, 2θ = 51.79°, 1.765 Å, I 19
hkl 2 -2 0, 2θ = 40.10°, 2.248 Å, I 17